Theoretical XRD peak list of Ac6La8Dy for Cu Ka, from a cell relaxed with GGA-PBE.
No peak broadening, texture or thermal motion is included.

Main lines, in order of falling intensity (15° ≤ 2θ ≤ 90°):
(3 -2 2), 2θ = 29.4°, I = 100.0; (3 -1 1), 2θ = 28.5°, I = 41.9; (1 0 7), 2θ = 30.1°, I = 30.7; (1 1 6), 2θ = 30.4°, I = 21.4; (5 -1 3), 2θ = 51.6°, I = 16.5; (2 1 4), 2θ = 32.6°, I = 13.0; (0 3 3), 2θ = 34.4°, I = 12.4; (2 -1 3), 2θ = 22.0°, I = 9.9

Crystal structure
```
data_Ac6La8Dy
_chemical_formula_sum 'Ac18 La24 Dy3'
_cell_length_a 9.6544
_cell_length_b 9.6544
_cell_length_c 22.2380
_cell_angle_alpha 90.00
_cell_angle_beta 90.00
_cell_angle_gamma 120.00
_symmetry_space_group_name_H-M 'R -3'
_symmetry_Int_Tables_number 148
_symmetry_space_group_name_Hall '-R 3'
loop_
_atom_site_label
_atom_site_type_symbol
_atom_site_fract_x
_atom_site_fract_y
_atom_site_fract_z
Ac1 Ac 0.0487 0.2516 0.2076
La1 La 0.0000 0.0000 0.0737
La2 La 0.0817 0.5706 0.3069
Dy1 Dy 0.0000 0.0000 0.5000
```